For Ac3Pm8Ho, a crystal structure in Alexandria, relaxed with PBE gives the calculated XRD peak list in this record (Cu Kα X-rays).

Structural model:
abc: 8.719 8.719 8.718
angles: 116.35 116.35 96.43
Positions (direct):
Ac  0.000  0.000  0.000
Ac  0.251  0.750  0.500
Ac  0.750  0.251  0.500
Pm  0.137  0.137  0.753
Pm  0.239  0.707  0.000
Pm  0.295  0.295  0.533
Pm  0.383  0.383  0.245
Pm  0.617  0.863  0.001
Pm  0.707  0.239  0.000
Pm  0.761  0.761  0.467
Pm  0.863  0.617  0.001
Ho  0.500  0.500  0.000

Top 8 peaks for 2θ = 10–90°, by intensity:
d_spacing  2θ/deg  I/Imax
2.600  34.49  100
3.251  27.44  70
2.905  30.78  53
4.332  20.50  45
2.166  41.70  40
3.876  22.94  38
3.605  24.69  36
1.722  53.19  34



For Ho12MgPd6, a crystal structure in Alexandria, relaxed with PBE gives the calculated XRD peak list in this record (Cu Kα X-rays).

Structural model:
abc: 8.615 8.615 8.615
angles: 109.47 109.47 109.47
Positions (direct):
Ho  0.114  0.817  0.298
Ho  0.183  0.298  0.481
Ho  0.183  0.702  0.886
Ho  0.298  0.114  0.817
Ho  0.298  0.481  0.183
Ho  0.481  0.183  0.298
Ho  0.519  0.817  0.702
Ho  0.702  0.519  0.817
Ho  0.702  0.886  0.183
Ho  0.817  0.298  0.114
Ho  0.817  0.702  0.519
Ho  0.886  0.183  0.702
Mg  0.000  0.000  0.000
Pd  0.137  0.637  0.500
Pd  0.363  0.500  0.863
Pd  0.500  0.137  0.637
Pd  0.500  0.863  0.363
Pd  0.637  0.500  0.137
Pd  0.863  0.363  0.500

Top 8 peaks for 2θ = 10–90°, by intensity:
d_spacing  2θ/deg  I/Imax
2.659  33.71  100
1.614  57.07  28
1.706  53.73  24
2.872  31.15  22
1.951  46.55  17
3.146  28.37  17
1.156  83.62  15
1.658  55.42  15



For Li3Bi5, a crystal structure in Alexandria, relaxed with PBE gives the calculated XRD peak list in this record (Cu Kα X-rays).

Structural model:
abc: 3.443 3.443 17.395
angles: 90.00 90.00 90.00
Positions (direct):
Li  0.000  0.000  0.000
Li  0.500  0.500  0.389
Li  0.500  0.500  0.611
Bi  0.000  0.000  0.279
Bi  0.000  0.000  0.500
Bi  0.000  0.000  0.721
Bi  0.500  0.500  0.105
Bi  0.500  0.500  0.895

Top 8 peaks for 2θ = 10–90°, by intensity:
d_spacing  2θ/deg  I/Imax
2.699  33.19  100
3.377  26.39  79
2.434  36.92  52
3.479  25.61  51
1.995  45.47  46
1.685  54.44  31
1.451  64.17  31
1.204  79.61  22



For BaZn4Ag8, a crystal structure in Alexandria, relaxed with PBE gives the calculated XRD peak list in this record (Cu Kα X-rays).

Structural model:
abc: 7.301 7.301 7.301
angles: 97.83 97.83 136.68
Positions (direct):
Ba  0.000  0.000  0.000
Zn  0.000  0.000  0.500
Zn  0.000  0.500  0.000
Zn  0.500  0.000  0.000
Zn  0.500  0.500  0.500
Ag  0.000  0.351  0.351
Ag  0.000  0.649  0.649
Ag  0.273  0.500  0.773
Ag  0.351  0.000  0.351
Ag  0.500  0.273  0.773
Ag  0.500  0.727  0.227
Ag  0.649  0.000  0.649
Ag  0.727  0.500  0.227

Top 8 peaks for 2θ = 10–90°, by intensity:
d_spacing  2θ/deg  I/Imax
2.386  37.69  100
2.399  37.49  56
2.110  42.86  51
2.350  38.31  48
2.751  32.55  42
2.137  42.30  35
2.695  33.25  29
1.383  67.77  28



For CeSmGa2, a crystal structure in Alexandria, relaxed with PBE gives the calculated XRD peak list in this record (Cu Kα X-rays).

Structural model:
abc: 4.146 5.922 8.250
angles: 90.00 90.00 90.00
Positions (direct):
Ce  0.000  0.134  0.000
Ce  0.000  0.866  0.500
Sm  0.500  0.369  0.360
Sm  0.500  0.631  0.860
Ga  0.000  0.377  0.647
Ga  0.000  0.623  0.147
Ga  0.500  0.121  0.713
Ga  0.500  0.879  0.213

Top 8 peaks for 2θ = 10–90°, by intensity:
d_spacing  2θ/deg  I/Imax
2.924  30.57  100
2.787  32.12  94
2.313  38.94  93
2.622  34.20  92
3.141  28.42  91
2.494  36.01  68
2.073  43.66  45
1.663  55.22  40



For Ac5Pr5Nd, a crystal structure in Alexandria, relaxed with PBE gives the calculated XRD peak list in this record (Cu Kα X-rays).

Structural model:
abc: 6.642 6.642 12.287
angles: 90.00 90.00 120.00
Positions (direct):
Ac  0.000  0.000  0.243
Ac  0.000  0.000  0.757
Ac  0.338  0.169  0.000
Ac  0.831  0.169  0.000
Ac  0.831  0.662  0.000
Pr  0.000  0.000  0.500
Pr  0.333  0.667  0.171
Pr  0.333  0.667  0.829
Pr  0.667  0.333  0.343
Pr  0.667  0.333  0.657
Nd  0.333  0.667  0.500

Top 8 peaks for 2θ = 10–90°, by intensity:
d_spacing  2θ/deg  I/Imax
3.336  26.72  100
3.321  26.85  87
2.800  31.96  60
2.605  34.43  60
1.919  47.36  59
2.710  33.06  51
2.921  30.60  44
1.660  55.33  40



For Y2IrNO, a crystal structure in Alexandria, relaxed with PBE gives the calculated XRD peak list in this record (Cu Kα X-rays).

Structural model:
abc: 5.370 5.370 3.712
angles: 90.00 90.00 90.00
Positions (direct):
Y  0.000  0.500  0.000
Y  0.500  0.000  0.000
Ir  0.000  0.000  0.000
N  0.000  0.000  0.500
O  0.500  0.500  0.500

Top 8 peaks for 2θ = 10–90°, by intensity:
d_spacing  2θ/deg  I/Imax
5.370  16.51  100
2.685  33.37  85
3.712  23.97  70
2.175  41.51  67
3.054  29.25  54
2.016  44.96  34
1.690  54.27  31
1.898  47.92  30



For NpPa2Sb3, a crystal structure in Alexandria, relaxed with PBE gives the calculated XRD peak list in this record (Cu Kα X-rays).

Structural model:
abc: 9.160 9.160 9.160
angles: 146.43 131.70 60.11
Positions (direct):
Np  0.166  0.166  0.000
Np  0.834  0.834  0.000
Pa  0.000  0.500  0.500
Pa  0.327  0.827  0.500
Pa  0.500  0.500  0.000
Pa  0.673  0.173  0.500
Sb  0.088  0.335  0.753
Sb  0.256  0.000  0.256
Sb  0.418  0.665  0.753
Sb  0.582  0.335  0.247
Sb  0.744  0.000  0.744
Sb  0.912  0.665  0.247

Top 8 peaks for 2θ = 10–90°, by intensity:
d_spacing  2θ/deg  I/Imax
2.646  33.88  100
1.528  60.59  25
1.527  60.66  12
1.870  48.70  12
1.183  81.37  11
3.742  23.78  11
1.323  71.26  10
1.874  48.59  6



For CuSiPb2, a crystal structure in Alexandria, relaxed with PBE gives the calculated XRD peak list in this record (Cu Kα X-rays).

Structural model:
abc: 6.978 6.978 6.978
angles: 34.39 34.39 34.39
Positions (direct):
Cu  0.000  0.000  0.000
Si  0.664  0.664  0.664
Pb  0.233  0.233  0.233
Pb  0.430  0.430  0.430

Top 8 peaks for 2θ = 10–90°, by intensity:
d_spacing  2θ/deg  I/Imax
2.645  33.89  100
2.891  30.93  80
3.516  25.33  79
2.063  43.89  59
1.500  61.83  27
1.627  56.57  24
1.277  74.24  21
1.724  53.14  18



For LaPm12Sm6, a crystal structure in Alexandria, relaxed with PBE gives the calculated XRD peak list in this record (Cu Kα X-rays).

Structural model:
abc: 8.727 8.727 8.727
angles: 89.07 89.07 89.07
Positions (direct):
La  0.000  0.000  0.000
Pm  0.016  0.199  0.360
Pm  0.199  0.360  0.016
Pm  0.222  0.463  0.565
Pm  0.360  0.016  0.199
Pm  0.435  0.778  0.537
Pm  0.463  0.565  0.222
Pm  0.537  0.435  0.778
Pm  0.565  0.222  0.463
Pm  0.640  0.984  0.801
Pm  0.778  0.537  0.435
Pm  0.801  0.640  0.984
Pm  0.984  0.801  0.640
Sm  0.096  0.695  0.260
Sm  0.260  0.096  0.695
Sm  0.305  0.740  0.904
Sm  0.695  0.260  0.096
Sm  0.740  0.904  0.305
Sm  0.904  0.305  0.740

Top 8 peaks for 2θ = 10–90°, by intensity:
d_spacing  2θ/deg  I/Imax
2.888  30.97  100
2.772  32.29  67
2.951  30.29  41
2.746  32.61  28
2.908  30.74  26
1.698  54.01  19
2.627  34.13  17
2.055  44.08  14



For Ce6ThPa2, a crystal structure in Alexandria, relaxed with PBE gives the calculated XRD peak list in this record (Cu Kα X-rays).

Structural model:
abc: 3.263 3.263 25.983
angles: 90.00 90.00 120.00
Positions (direct):
Ce  0.000  0.000  0.056
Ce  0.000  0.000  0.274
Ce  0.000  0.000  0.726
Ce  0.000  0.000  0.944
Ce  0.333  0.667  0.384
Ce  0.333  0.667  0.616
Th  0.000  0.000  0.500
Pa  0.333  0.667  0.165
Pa  0.333  0.667  0.835

Top 8 peaks for 2θ = 10–90°, by intensity:
d_spacing  2θ/deg  I/Imax
2.591  34.62  100
2.483  36.18  71
1.632  56.39  65
2.887  30.97  64
2.826  31.66  47
1.420  65.74  45
2.019  44.88  35
8.661  10.21  21



For Pm2Sm6Tl3, a crystal structure in Alexandria, relaxed with PBE gives the calculated XRD peak list in this record (Cu Kα X-rays).

Structural model:
abc: 17.480 17.480 17.480
angles: 164.85 164.85 21.49
Positions (direct):
Pm  0.044  0.044  0.000
Pm  0.956  0.956  0.000
Sm  0.127  0.627  0.500
Sm  0.214  0.214  0.000
Sm  0.373  0.873  0.500
Sm  0.627  0.127  0.500
Sm  0.786  0.786  0.000
Sm  0.873  0.373  0.500
Tl  0.306  0.306  0.000
Tl  0.500  0.500  0.000
Tl  0.694  0.694  0.000

Top 8 peaks for 2θ = 10–90°, by intensity:
d_spacing  2θ/deg  I/Imax
3.047  29.31  100
2.304  39.09  53
2.596  34.55  48
2.585  34.70  40
1.720  53.26  24
1.795  50.88  23
1.437  64.90  21
2.862  31.25  20



Please write out number 2 again, unchanged.
For Ho12MgPd6, a crystal structure in Alexandria, relaxed with PBE gives the calculated XRD peak list in this record (Cu Kα X-rays).

Structural model:
abc: 8.615 8.615 8.615
angles: 109.47 109.47 109.47
Positions (direct):
Ho  0.114  0.817  0.298
Ho  0.183  0.298  0.481
Ho  0.183  0.702  0.886
Ho  0.298  0.114  0.817
Ho  0.298  0.481  0.183
Ho  0.481  0.183  0.298
Ho  0.519  0.817  0.702
Ho  0.702  0.519  0.817
Ho  0.702  0.886  0.183
Ho  0.817  0.298  0.114
Ho  0.817  0.702  0.519
Ho  0.886  0.183  0.702
Mg  0.000  0.000  0.000
Pd  0.137  0.637  0.500
Pd  0.363  0.500  0.863
Pd  0.500  0.137  0.637
Pd  0.500  0.863  0.363
Pd  0.637  0.500  0.137
Pd  0.863  0.363  0.500

Top 8 peaks for 2θ = 10–90°, by intensity:
d_spacing  2θ/deg  I/Imax
2.659  33.71  100
1.614  57.07  28
1.706  53.73  24
2.872  31.15  22
1.951  46.55  17
3.146  28.37  17
1.156  83.62  15
1.658  55.42  15